Ba2Zn3As2O2: computed powder X-ray diffraction pattern (copper Kα), based on a structure optimized by DFT (GGA-PBE).

Cell and atoms:
```
data_Ba2Zn3As2O2
_cell_length_a 10.5051
_cell_length_b 10.5051
_cell_length_c 10.5051
_cell_angle_alpha 156.80
_cell_angle_beta 156.80
_cell_angle_gamma 33.04
_symmetry_space_group_name_H-M 'P 1'
_symmetry_Int_Tables_number 1
_symmetry_space_group_name_Hall 'P 1'
loop_
_atom_site_label
_atom_site_type_symbol
_atom_site_fract_x
_atom_site_fract_y
_atom_site_fract_z
Ba1 Ba 0.0890 0.0890 0.0000
Ba2 Ba 0.9110 0.9110 0.0000
Zn1 Zn 0.2500 0.7500 0.5000
Zn2 Zn 0.5000 0.5000 0.0000
Zn3 Zn 0.7500 0.2500 0.5000
As1 As 0.3251 0.3251 0.0000
As2 As 0.6749 0.6749 0.0000
O1 O 0.0000 0.5000 0.5000
O2 O 0.5000 0.0000 0.5000
```

The 10 most intense peaks (10° ≤ 2θ ≤ 90°), sorted by position:
d 2.987, 29.91 deg, I = 28; d 2.915, 30.67 deg, I = 100; d 2.864, 31.23 deg, I = 22; d 2.569, 34.92 deg, I = 38; d 2.378, 37.83 deg, I = 25; d 2.112, 42.81 deg, I = 48; d 1.710, 53.58 deg, I = 41; d 1.670, 54.98 deg, I = 15; d 1.494, 62.15 deg, I = 15; d 1.314, 71.84 deg, I = 17